[1]
The following is a simulated powder XRD pattern of La2PmY5. It was derived from a crystal structure in Alexandria, relaxed with GGA-PBE, using Cu Ka.
Peak positions follow from Bragg's law for the DFT cell and can differ from measured ones.

Most intense lines, 2θ from 10° to 90°, in order of falling intensity:
2θ/deg  I/Imax
31.9  100
32.2  46
30.7  36
27.9  22
59.6  21
55.4  20
49.7  19
60.1  15
42.0  14
28.2  13

Structure:
Unit cell a=8.6078 b=7.3383 c=6.9003 alpha=74.32 beta=55.16 gamma=50.52
Fractional positions:
La 0.2503 0.7497 0.2503
La 0.7497 0.2503 0.7497
Pm 0.1706 0.1706 0.8294
Y 0.1697 0.6692 0.8303
Y 0.2517 0.2517 0.2483
Y 0.6692 0.1697 0.3308
Y 0.6700 0.6700 0.3300
Y 0.7517 0.7517 0.7483

[2]
The following is a simulated powder XRD pattern of Pu4Ru3. It was derived from a crystal structure in Alexandria, relaxed with GGA-PBE, using Cu Ka.
Peak positions follow from Bragg's law for the DFT cell and can differ from measured ones.

Most intense lines, 2θ from 10° to 90°, in order of falling intensity:
2θ/deg  I/Imax
33.8  100
40.3  64
56.0  36
69.1  22
53.6  21
26.1  17
30.2  16
73.2  15
85.1  14
71.2  12

Structure:
Unit cell a=7.2560 b=7.2560 c=7.2560 alpha=109.47 beta=109.47 gamma=109.47
Fractional positions:
Pu 0.0000 0.3640 0.5000
Pu 0.0000 0.8640 0.5000
Pu 0.1360 0.1360 0.1360
Pu 0.3640 0.5000 0.0000
Pu 0.5000 0.0000 0.3640
Pu 0.5000 0.0000 0.8640
Pu 0.6360 0.6360 0.6360
Pu 0.8640 0.5000 0.0000
Ru 0.1250 0.7500 0.8750
Ru 0.2500 0.6250 0.3750
Ru 0.3750 0.2500 0.6250
Ru 0.6250 0.3750 0.2500
Ru 0.7500 0.8750 0.1250
Ru 0.8750 0.1250 0.7500